# 1
Starting from the GGA-PBE geometry in the Materials Project, the PXRD pattern of MgGa2S4 was calculated for a wavelength of 1.5418 Å.
Lines closer than 0.1° are merged.

Peak list (8 most intense, 10° ≤ 2θ ≤ 90°, sorted by position)
14.54 deg, d = 6.092 Å, I = 68
22.24 deg, d = 3.997 Å, I = 71
27.65 deg, d = 3.227 Å, I = 61
29.06 deg, d = 3.073 Å, I = 84
35.44 deg, d = 2.533 Å, I = 38
47.95 deg, d = 1.897 Å, I = 33
48.50 deg, d = 1.877 Å, I = 100
48.78 deg, d = 1.867 Å, I = 54

Atomic structure:
Unit cell a=13.076 b=13.076 c=6.477 alpha=99.13 beta=99.13 gamma=121.06
Element x y z (fractional)
Mg (0.044, 0.956, 0.750)
Mg (0.130, 0.870, 0.250)
Mg (0.218, 0.782, 0.750)
Mg (0.782, 0.218, 0.250)
Mg (0.870, 0.130, 0.750)
Mg (0.956, 0.044, 0.250)
Ga (0.115, 0.517, 0.147)
Ga (0.167, 0.417, 0.618)
Ga (0.248, 0.328, 0.118)
Ga (0.328, 0.248, 0.618)
Ga (0.417, 0.167, 0.118)
Ga (0.483, 0.885, 0.353)
Ga (0.517, 0.115, 0.647)
Ga (0.583, 0.833, 0.882)
Ga (0.672, 0.752, 0.382)
Ga (0.752, 0.672, 0.882)
Ga (0.833, 0.583, 0.382)
Ga (0.885, 0.483, 0.853)
S (0.024, 0.760, 0.517)
S (0.064, 0.151, 0.983)
S (0.088, 0.656, 0.003)
S (0.151, 0.064, 0.483)
S (0.187, 0.583, 0.513)
S (0.240, 0.976, 0.983)
S (0.257, 0.492, 0.000)
S (0.326, 0.408, 0.501)
S (0.344, 0.912, 0.497)
S (0.408, 0.326, 0.001)
S (0.417, 0.813, 0.987)
S (0.492, 0.257, 0.500)
S (0.508, 0.743, 0.500)
S (0.583, 0.187, 0.013)
S (0.592, 0.674, 0.999)
S (0.656, 0.088, 0.503)
S (0.674, 0.592, 0.499)
S (0.743, 0.508, 0.000)
S (0.760, 0.024, 0.017)
S (0.813, 0.417, 0.487)
S (0.849, 0.936, 0.517)
S (0.912, 0.344, 0.997)
S (0.936, 0.849, 0.017)
S (0.976, 0.240, 0.483)

=====

# 2
Starting from the GGA-PBE geometry in the Materials Project, the PXRD pattern of Mg2Ga2S5 was calculated for a wavelength of 1.5418 Å.
Lines closer than 0.1° are merged.

Peak list (8 most intense, 10° ≤ 2θ ≤ 90°, sorted by position)
17.23 deg, d = 5.147 Å, I = 60
27.57 deg, d = 3.235 Å, I = 62
28.18 deg, d = 3.166 Å, I = 94
29.95 deg, d = 2.984 Å, I = 51
32.69 deg, d = 2.739 Å, I = 72
36.23 deg, d = 2.479 Å, I = 54
48.75 deg, d = 1.868 Å, I = 89
50.05 deg, d = 1.822 Å, I = 100

Atomic structure:
Unit cell a=3.736 b=3.736 c=15.440 alpha=90.00 beta=90.00 gamma=120.00
Element x y z (fractional)
Mg (0.333, 0.667, 0.099)
Mg (0.667, 0.333, 0.901)
Ga (0.333, 0.667, 0.671)
Ga (0.667, 0.333, 0.329)
S (0.000, 0.000, 0.000)
S (0.333, 0.667, 0.393)
S (0.333, 0.667, 0.814)
S (0.667, 0.333, 0.186)
S (0.667, 0.333, 0.607)

=====

# 3
Starting from the GGA-PBE geometry in the Materials Project, the PXRD pattern of MgTiGaS4 was calculated for a wavelength of 1.5418 Å.
Lines closer than 0.1° are merged.

Peak list (8 most intense, 10° ≤ 2θ ≤ 90°, sorted by position)
14.63 deg, d = 6.055 Å, I = 38
14.85 deg, d = 5.967 Å, I = 72
28.35 deg, d = 3.148 Å, I = 66
28.70 deg, d = 3.111 Å, I = 28
34.16 deg, d = 2.625 Å, I = 50
34.61 deg, d = 2.592 Å, I = 100
45.63 deg, d = 1.988 Å, I = 28
49.42 deg, d = 1.844 Å, I = 96

Atomic structure:
Unit cell a=7.373 b=7.373 c=7.251 alpha=119.36 beta=119.36 gamma=60.35
Element x y z (fractional)
Mg (0.125, 0.125, 0.375)
Mg (0.875, 0.875, 0.625)
Ti (0.500, 0.500, 0.000)
Ti (0.500, 0.500, 0.500)
Ga (0.000, 0.500, 0.000)
Ga (0.500, 0.000, 0.000)
S (0.259, 0.719, 0.239)
S (0.267, 0.267, 0.249)
S (0.267, 0.267, 0.785)
S (0.281, 0.741, 0.761)
S (0.719, 0.259, 0.239)
S (0.733, 0.733, 0.215)
S (0.733, 0.733, 0.751)
S (0.741, 0.281, 0.761)